1.
# InNiTeAuS2
Calculated powder XRD pattern, Cu Kα X-rays. Input: a crystal structure in OQMD, relaxed with GGA-PBE.
Intensities are scaled so that the largest is 100.

Main lines, low angle first (2θ = 10–90°):
Position (°2θ)  d (Å)  Rel. int.
14.79  5.989  22
17.06  5.199  97
31.94  2.802  100
33.11  2.706  52
34.50  2.599  61
36.42  2.467  50
37.84  2.378  47
41.45  2.179  28
45.42  1.997  28
47.72  1.906  62

Crystal structure
```
InNiTeAuS2
1.0
1.7106 -7.3271 0.0000
1.7106 7.3271 0.0000
0.0000 0.0000 10.3976
In Ni Te Au S
2 2 2 2 4
Cartesian
1.7106 4.3078 7.7982
1.7106 -4.3078 2.5994
1.7106 0.0000 0.0000
1.7106 0.0000 5.1988
1.7106 0.4804 2.5994
1.7106 -0.4804 7.7982
1.7106 5.2502 2.5994
1.7106 -5.2502 7.7982
1.7106 5.7983 0.1814
1.7106 5.7983 5.0174
1.7106 -5.7983 5.3802
1.7106 -5.7983 10.2162
```



2.
# InNiTe2AuSe
Calculated powder XRD pattern, Cu Kα X-rays. Input: a crystal structure in OQMD, relaxed with GGA-PBE.
Intensities are scaled so that the largest is 100.

Main lines, low angle first (2θ = 10–90°):
Position (°2θ)  d (Å)  Rel. int.
20.86  4.259  12
23.78  3.741  17
28.05  3.181  13
31.09  2.876  100
31.20  2.866  60
44.63  2.030  70
45.36  1.999  16
46.40  1.957  25
56.97  1.616  21
73.88  1.283  13

Crystal structure
```
InNiTe2AuSe
1.0
1.9573 -6.3614 0.0000
1.9573 6.3614 0.0000
0.0000 0.0000 11.4659
In Ni Te Au Se
2 2 4 2 2
Cartesian
1.9573 4.0376 8.5994
1.9573 -4.0376 2.8665
1.9573 0.0000 0.0000
1.9573 0.0000 5.7329
1.9573 4.7374 0.1837
1.9573 4.7374 5.5492
1.9573 -4.7374 5.9167
1.9573 -4.7374 11.2821
1.9573 4.3931 2.8665
1.9573 -4.3931 8.5994
1.9573 0.3192 2.8665
1.9573 -0.3192 8.5994
```



3.
# Sr2In4NiAu
Calculated powder XRD pattern, Cu Kα X-rays. Input: a crystal structure in OQMD, relaxed with GGA-PBE.
Intensities are scaled so that the largest is 100.

Main lines, low angle first (2θ = 10–90°):
Position (°2θ)  d (Å)  Rel. int.
15.77  5.619  32
31.01  2.884  100
33.05  2.711  56
33.84  2.649  32
37.52  2.397  17
38.57  2.334  36
39.27  2.294  22
39.92  2.258  36
40.26  2.240  43
53.30  1.719  17

Crystal structure
```
Sr2In4NiAu
1.0
7.9505 0.0000 0.0000
0.0000 2.2584 5.6188
0.0000 -2.2584 5.6188
Sr In Ni Au
2 4 1 1
Cartesian
0.0000 0.0000 0.0000
3.9752 0.0000 1.3486
1.6746 0.0000 8.0321
2.4999 0.0000 4.6239
5.4505 0.0000 4.6239
6.2759 0.0000 8.0321
3.9752 0.0000 9.4713
0.0000 0.0000 3.1821
```



4.
# TbTm2In3Ni2Au
Calculated powder XRD pattern, Cu Kα X-rays. Input: a crystal structure in OQMD, relaxed with GGA-PBE.
Intensities are scaled so that the largest is 100.

Main lines, low angle first (2θ = 10–90°):
Position (°2θ)  d (Å)  Rel. int.
27.51  3.242  24
33.17  2.701  98
36.03  2.493  100
36.67  2.451  36
41.79  2.161  43
43.62  2.075  23
46.58  1.950  25
60.69  1.526  16
64.35  1.448  23
67.38  1.390  35

Crystal structure
```
TbTm2In3Ni2Au
1.0
3.8998 0.0000 0.0000
0.0000 6.4881 3.7410
0.0000 -6.4881 3.7410
Tb Tm In Ni Au
1 2 3 2 1
Cartesian
0.0000 0.0000 0.0000
0.0000 -2.6537 4.5832
0.0000 2.6537 4.5832
1.9499 -1.7863 2.0395
1.9499 1.7863 2.0395
1.9499 0.0000 5.1010
1.9499 -4.3076 3.0572
1.9499 4.3076 3.0572
0.0000 0.0000 3.0728
```



5.
# InAuSO
Calculated powder XRD pattern, Cu Kα X-rays. Input: a crystal structure in OQMD, relaxed with GGA-PBE.
Intensities are scaled so that the largest is 100.

Main lines, low angle first (2θ = 10–90°):
Position (°2θ)  d (Å)  Rel. int.
18.19  4.876  73
22.75  3.909  85
24.47  3.638  56
28.26  3.158  100
28.79  3.101  85
33.63  2.665  70
34.17  2.624  83
34.84  2.575  86
43.33  2.088  53
46.46  1.955  86

Crystal structure
```
InAuSO
1.0
5.5444 0.0000 0.0000
0.0000 5.5146 0.0000
-0.2812 0.0000 10.4403
In Au S O
4 4 4 4
Cartesian
0.0000 0.0000 1.0389
2.4919 0.0105 9.3884
2.7712 2.7677 1.0519
5.2632 2.7573 9.4014
-0.1883 0.1281 7.4547
1.6429 1.4886 5.2353
3.6202 4.2459 5.2050
5.4514 2.8854 2.9856
1.5652 1.2608 2.9189
1.4978 1.7229 7.5457
3.7653 4.4802 2.8946
3.6980 4.0181 7.5214
1.3600 1.3794 0.0025
1.1253 4.1397 10.4304
4.1378 1.3825 0.0099
3.9031 4.1367 10.4378
```



6.
# InAuSO
Calculated powder XRD pattern, Cu Kα X-rays. Input: a crystal structure in OQMD, relaxed with GGA-PBE.
Intensities are scaled so that the largest is 100.

Main lines, low angle first (2θ = 10–90°):
Position (°2θ)  d (Å)  Rel. int.
12.72  6.958  35
25.60  3.479  73
28.50  3.131  67
28.68  3.113  41
29.85  2.993  100
35.13  2.555  34
36.81  2.441  41
42.47  2.129  49
44.14  2.052  26
60.46  1.531  28

Crystal structure
```
InAuSO
1.0
7.2666 0.0000 0.0000
0.0000 6.8151 0.0000
-1.8851 0.0000 6.2628
In Au S O
4 4 4 4
Cartesian
0.1209 0.9841 1.3015
-0.8216 2.4234 4.4329
6.2032 4.3917 1.8298
5.2606 5.8310 4.9612
2.9576 4.5225 1.8169
2.0151 5.7001 4.9483
3.3665 1.1150 1.3145
2.4239 2.2926 4.4459
0.9366 0.6082 3.8248
1.8791 2.7993 0.6934
3.5024 4.0158 5.5693
4.4449 6.2069 2.4380
-0.7128 4.4847 3.9824
0.2297 5.7380 0.8511
5.1518 1.0772 5.4117
6.0944 2.3304 2.2803
```



7.
# InPdAu3S4
Calculated powder XRD pattern, Cu Kα X-rays. Input: a crystal structure in OQMD, relaxed with GGA-PBE.
Intensities are scaled so that the largest is 100.

Main lines, low angle first (2θ = 10–90°):
Position (°2θ)  d (Å)  Rel. int.
15.04  5.892  26
26.20  3.402  100
30.34  2.946  64
43.44  2.083  93
51.43  1.777  48
53.90  1.701  18
69.54  1.352  20
71.62  1.318  23
79.73  1.203  32
85.66  1.134  16

Crystal structure
```
InPdAu3S4
1.0
5.8923 0.0000 0.0000
0.0000 5.8923 0.0000
0.0000 0.0000 5.8923
In Pd Au S
1 1 3 4
Cartesian
0.0000 0.0000 0.0000
2.9461 2.9461 2.9461
0.0000 2.9461 2.9461
2.9461 0.0000 2.9461
2.9461 2.9461 0.0000
1.4786 1.4786 1.4786
1.4786 4.4136 4.4136
4.4136 1.4786 4.4136
4.4136 4.4136 1.4786
```



8.
# InTe2PdAuS
Calculated powder XRD pattern, Cu Kα X-rays. Input: a crystal structure in OQMD, relaxed with GGA-PBE.
Intensities are scaled so that the largest is 100.

Main lines, low angle first (2θ = 10–90°):
Position (°2θ)  d (Å)  Rel. int.
11.88  7.451  29
22.79  3.903  30
29.83  2.995  16
30.06  2.973  35
30.70  2.912  39
34.45  2.604  100
36.93  2.434  21
38.55  2.335  25
42.35  2.134  37
44.83  2.022  27

Crystal structure
```
InTe2PdAuS
1.0
2.0220 -7.4510 0.0000
2.0220 7.4510 0.0000
0.0000 0.0000 9.3412
In Te Pd Au S
2 4 2 2 2
Cartesian
2.0220 3.8461 7.0059
2.0220 -3.8461 2.3353
2.0220 5.2990 0.4542
2.0220 5.2990 4.2164
2.0220 -5.2990 5.1248
2.0220 -5.2990 8.8870
2.0220 0.0000 0.0000
2.0220 0.0000 4.6706
2.0220 7.2397 2.3353
2.0220 -7.2397 7.0059
2.0220 1.2428 2.3353
2.0220 -1.2428 7.0059
```



9.
# Y3In3Pd2Au
Calculated powder XRD pattern, Cu Kα X-rays. Input: a crystal structure in OQMD, relaxed with GGA-PBE.
Intensities are scaled so that the largest is 100.

Main lines, low angle first (2θ = 10–90°):
Position (°2θ)  d (Å)  Rel. int.
13.23  6.693  20
26.31  3.387  15
32.51  2.755  73
35.23  2.547  100
35.48  2.530  31
40.43  2.231  54
42.50  2.127  52
46.23  1.964  25
63.07  1.474  29
65.24  1.430  39

Crystal structure
```
Y3In3Pd2Au
1.0
7.7290 0.0000 0.0000
-3.8645 6.6935 0.0000
0.0000 0.0000 3.9273
Y In Pd Au
3 3 2 1
Cartesian
-1.5699 2.7191 0.0000
3.1398 0.0000 0.0000
2.2946 3.9743 0.0000
-2.8334 4.9075 1.9636
1.0311 1.7860 1.9636
5.6667 0.0000 1.9636
0.0000 4.4623 1.9636
3.8645 2.2312 1.9636
0.0000 0.0000 0.0000
```



10.
# InTe3PtAu
Calculated powder XRD pattern, Cu Kα X-rays. Input: a crystal structure in OQMD, relaxed with GGA-PBE.
Intensities are scaled so that the largest is 100.

Main lines, low angle first (2θ = 10–90°):
Position (°2θ)  d (Å)  Rel. int.
20.45  4.343  18
29.96  2.983  100
31.56  2.835  50
40.05  2.252  14
43.52  2.080  16
44.07  2.055  68
45.57  1.990  18
51.86  1.763  13
56.49  1.629  19
74.05  1.280  14

Crystal structure
```
InTe3PtAu
1.0
1.9904 -6.7546 0.0000
1.9904 6.7546 0.0000
0.0000 0.0000 11.3399
In Te Pt Au
2 6 2 2
Cartesian
1.9904 4.1798 8.5049
1.9904 -4.1798 2.8350
1.9904 4.9624 0.1289
1.9904 4.9624 5.5410
1.9904 0.1521 2.8350
1.9904 -0.1521 8.5049
1.9904 -4.9624 5.7989
1.9904 -4.9624 11.2110
1.9904 0.0000 0.0000
1.9904 0.0000 5.6699
1.9904 4.5805 2.8350
1.9904 -4.5805 8.5049
```



11.
# Y2In4PtAu
Calculated powder XRD pattern, Cu Kα X-rays. Input: a crystal structure in OQMD, relaxed with GGA-PBE.
Intensities are scaled so that the largest is 100.

Main lines, low angle first (2θ = 10–90°):
Position (°2θ)  d (Å)  Rel. int.
16.55  5.355  31
24.36  3.654  30
32.44  2.760  100
34.09  2.630  80
35.73  2.513  41
39.17  2.300  56
40.45  2.230  69
42.94  2.106  49
54.05  1.697  25
64.15  1.452  21

Crystal structure
```
Y2In4PtAu
1.0
7.2874 0.0000 0.0000
0.0000 2.2999 5.3550
0.0000 -2.2999 5.3550
Y In Pt Au
2 4 1 1
Cartesian
0.0000 0.0000 0.0000
3.6437 0.0000 1.6946
1.5098 0.0000 7.6464
2.1863 0.0000 4.8018
5.1012 0.0000 4.8018
5.7776 0.0000 7.6464
3.6437 0.0000 9.4000
0.0000 0.0000 3.0453
```



12.
# InRe2Au
Calculated powder XRD pattern, Cu Kα X-rays. Input: a crystal structure in OQMD, relaxed with GGA-PBE.
Intensities are scaled so that the largest is 100.

Main lines, low angle first (2θ = 10–90°):
Position (°2θ)  d (Å)  Rel. int.
23.83  3.735  2
27.58  3.234  2
39.40  2.287  100
46.57  1.950  1
48.77  1.867  1
56.94  1.617  17
62.60  1.484  1
64.42  1.446  1
71.45  1.320  35
84.78  1.143  11

Crystal structure
```
InRe2Au
1.0
0.0000 3.2342 3.2342
3.2342 0.0000 3.2342
3.2342 3.2342 0.0000
In Re Au
1 2 1
Cartesian
0.0000 0.0000 0.0000
3.2342 3.2342 3.2342
4.8513 4.8513 4.8513
1.6171 1.6171 1.6171
```



Please write out number 7 again, unchanged.
# InPdAu3S4
Calculated powder XRD pattern, Cu Kα X-rays. Input: a crystal structure in OQMD, relaxed with GGA-PBE.
Intensities are scaled so that the largest is 100.

Main lines, low angle first (2θ = 10–90°):
Position (°2θ)  d (Å)  Rel. int.
15.04  5.892  26
26.20  3.402  100
30.34  2.946  64
43.44  2.083  93
51.43  1.777  48
53.90  1.701  18
69.54  1.352  20
71.62  1.318  23
79.73  1.203  32
85.66  1.134  16

Crystal structure
```
InPdAu3S4
1.0
5.8923 0.0000 0.0000
0.0000 5.8923 0.0000
0.0000 0.0000 5.8923
In Pd Au S
1 1 3 4
Cartesian
0.0000 0.0000 0.0000
2.9461 2.9461 2.9461
0.0000 2.9461 2.9461
2.9461 0.0000 2.9461
2.9461 2.9461 0.0000
1.4786 1.4786 1.4786
1.4786 4.4136 4.4136
4.4136 1.4786 4.4136
4.4136 4.4136 1.4786
```



Which formula does entry 5 have?
InAuSO



What is the formula in the sixth record?
InAuSO